Entry 1:
# Ac3Zn2Au
Calculated PXRD pattern, Cu Ka. Input: a structure optimized by DFT (PBE).
Intensities are scaled so that the largest is 100.

Main lines, in order of rising 2θ (10° ≤ 2θ ≤ 80°):
2θ 22.71, d 3.915, I = 28, hkl 1 0 1
2θ 32.27, d 2.774, I = 100, hkl 0 1 2
2θ 32.40, d 2.763, I = 99, hkl 1 1 0
2θ 46.38, d 1.958, I = 37, hkl 2 0 2
2θ 57.46, d 1.604, I = 20, hkl 1 0 4
2θ 57.74, d 1.597, I = 58, hkl 3 0 0
2θ 67.53, d 1.387, I = 13, hkl 0 2 4
2θ 67.84, d 1.381, I = 12, hkl 2 2 0
2θ 76.91, d 1.240, I = 18, hkl 2 1 4
2θ 77.13, d 1.237, I = 17, hkl 3 1 2

Structure:
```
data_Ac3Zn2Au
_chemical_formula_sum 'Ac3 Zn2 Au1'
_symmetry_space_group_name_H-M 'P -3 m 1'
_symmetry_Int_Tables_number 164
_symmetry_space_group_name_Hall '-P 3 2"'
_cell_length_a 5.5259
_cell_length_b 5.5259
_cell_length_c 6.8086
_cell_angle_alpha 90.00
_cell_angle_beta 90.00
_cell_angle_gamma 120.00
loop_
_atom_site_label
_atom_site_type_symbol
_atom_site_fract_x
_atom_site_fract_y
_atom_site_fract_z
_atom_site_occupancy
Ac1 Ac 0.0000 0.0000 0.0000 1
Ac2 Ac 0.3333 0.6667 0.6605 1
Zn1 Zn 0.3333 0.6667 0.1515 1
Au1 Au 0.0000 0.0000 0.5000 1
```


Entry 2:
# TbSm12Dy2
Calculated PXRD pattern, Cu Ka. Input: a structure optimized by DFT (PBE).
Intensities are scaled so that the largest is 100.

Main lines, in order of rising 2θ (10° ≤ 2θ ≤ 80°):
2θ 28.83, d 3.097, I = 27, hkl 2 0 4
2θ 29.61, d 3.017, I = 47, hkl 0 2 7
2θ 30.32, d 2.948, I = 68, hkl 2 2 2
2θ 31.11, d 2.875, I = 68, hkl 0 4 0
2θ 31.40, d 2.849, I = 20, hkl 2 2 3
2θ 32.83, d 2.728, I = 100, hkl 0 2 8
2θ 36.74, d 2.446, I = 36, hkl 2 2 6
2θ 56.45, d 1.630, I = 20, hkl 0 6 8
2θ 58.04, d 1.589, I = 23, hkl 2 4 11
2θ 61.07, d 1.517, I = 21, hkl 4 4 0

Structure:
```
data_TbSm12Dy2
_chemical_formula_sum 'Tb4 Sm48 Dy8'
_symmetry_space_group_name_H-M 'C m m e'
_symmetry_Int_Tables_number 67
_symmetry_space_group_name_Hall '-C 2a 2'
_cell_length_a 7.1456
_cell_length_b 11.4999
_cell_length_c 24.8091
_cell_angle_alpha 90.00
_cell_angle_beta 90.00
_cell_angle_gamma 90.00
loop_
_atom_site_label
_atom_site_type_symbol
_atom_site_fract_x
_atom_site_fract_y
_atom_site_fract_z
_atom_site_occupancy
Tb1 Tb 0.0000 0.2500 0.0006 1
Sm1 Sm 0.0000 0.0014 0.9242 1
Sm2 Sm 0.0000 0.0230 0.4398 1
Sm3 Sm 0.2320 0.2500 0.5853 1
Sm4 Sm 0.2489 0.2500 0.1292 1
Sm5 Sm 0.2500 0.0000 0.1994 1
Sm6 Sm 0.2500 0.0000 0.3255 1
Dy1 Dy 0.0000 0.2500 0.2707 1
Dy2 Dy 0.0000 0.2500 0.7339 1
```


Entry 3:
# PrLuBeZn
Calculated PXRD pattern, Cu Ka. Input: a structure optimized by DFT (PBE).
Intensities are scaled so that the largest is 100.

Main lines, in order of rising 2θ (10° ≤ 2θ ≤ 80°):
2θ 21.77, d 4.083, I = 8, hkl 1 1 1
2θ 25.18, d 3.536, I = 45, hkl 2 0 0
2θ 35.91, d 2.501, I = 100, hkl 2 2 0
2θ 42.39, d 2.132, I = 4, hkl 3 1 1
2θ 44.37, d 2.042, I = 14, hkl 2 2 2
2θ 51.70, d 1.768, I = 18, hkl 4 0 0
2θ 56.74, d 1.623, I = 2, hkl 3 3 1
2θ 58.35, d 1.581, I = 18, hkl 4 2 0
2θ 64.55, d 1.444, I = 36, hkl 4 2 2
2θ 76.14, d 1.250, I = 11, hkl 4 4 0

Structure:
```
data_PrLuBeZn
_chemical_formula_sum 'Pr4 Lu4 Be4 Zn4'
_symmetry_space_group_name_H-M 'F -4 3 m'
_symmetry_Int_Tables_number 216
_symmetry_space_group_name_Hall 'F -4 2 3'
_cell_length_a 7.0725
_cell_length_b 7.0725
_cell_length_c 7.0725
_cell_angle_alpha 90.00
_cell_angle_beta 90.00
_cell_angle_gamma 90.00
loop_
_atom_site_label
_atom_site_type_symbol
_atom_site_fract_x
_atom_site_fract_y
_atom_site_fract_z
_atom_site_occupancy
Pr1 Pr 0.0000 0.0000 0.0000 1
Lu1 Lu 0.0000 0.0000 0.5000 1
Be1 Be 0.2500 0.2500 0.7500 1
Zn1 Zn 0.2500 0.2500 0.2500 1
```


Entry 4:
# Si4NiOs
Calculated PXRD pattern, Cu Ka. Input: a structure optimized by DFT (PBE).
Intensities are scaled so that the largest is 100.

Main lines, in order of rising 2θ (10° ≤ 2θ ≤ 80°):
2θ 22.70, d 3.917, I = 65, hkl 1 1 1
2θ 26.27, d 3.392, I = 23, hkl 2 0 0
2θ 37.50, d 2.399, I = 81, hkl 2 2 0
2θ 44.28, d 2.046, I = 100, hkl 3 1 1
2θ 46.36, d 1.958, I = 13, hkl 2 2 2
2θ 54.07, d 1.696, I = 4, hkl 4 0 0
2θ 59.38, d 1.556, I = 15, hkl 3 3 1
2θ 61.09, d 1.517, I = 10, hkl 4 2 0
2θ 67.65, d 1.385, I = 28, hkl 4 2 2
2θ 72.38, d 1.306, I = 31, hkl 5 1 1

Structure:
```
data_Si4NiOs
_chemical_formula_sum 'Si16 Ni4 Os4'
_symmetry_space_group_name_H-M 'F -4 3 m'
_symmetry_Int_Tables_number 216
_symmetry_space_group_name_Hall 'F -4 2 3'
_cell_length_a 6.7843
_cell_length_b 6.7843
_cell_length_c 6.7843
_cell_angle_alpha 90.00
_cell_angle_beta 90.00
_cell_angle_gamma 90.00
loop_
_atom_site_label
_atom_site_type_symbol
_atom_site_fract_x
_atom_site_fract_y
_atom_site_fract_z
_atom_site_occupancy
Si1 Si 0.1250 0.1250 0.1250 1
Ni1 Ni 0.2500 0.2500 0.7500 1
Os1 Os 0.0000 0.0000 0.5000 1
```


Entry 5:
# Li6Ac2Tl3
Calculated PXRD pattern, Cu Ka. Input: a structure optimized by DFT (PBE).
Intensities are scaled so that the largest is 100.

Main lines, in order of rising 2θ (10° ≤ 2θ ≤ 80°):
2θ 12.53, d 7.064, I = 60, hkl 1 0 0
2θ 21.80, d 4.078, I = 30, hkl 1 1 0
2θ 28.32, d 3.151, I = 100, hkl 1 1 1
2θ 31.08, d 2.878, I = 44, hkl 2 0 1
2θ 33.56, d 2.670, I = 16, hkl 2 1 0
2θ 36.20, d 2.482, I = 16, hkl 0 0 2
2θ 38.25, d 2.353, I = 34, hkl 3 0 0
2θ 46.34, d 1.959, I = 19, hkl 3 1 0
2θ 50.05, d 1.822, I = 14, hkl 3 1 1
2θ 60.18, d 1.538, I = 18, hkl 3 1 2

Structure:
```
data_Li6Ac2Tl3
_chemical_formula_sum 'Li6 Ac2 Tl3'
_symmetry_space_group_name_H-M 'P -6 2 m'
_symmetry_Int_Tables_number 189
_symmetry_space_group_name_Hall 'P -6 -2'
_cell_length_a 8.1573
_cell_length_b 8.1573
_cell_length_c 4.9630
_cell_angle_alpha 90.00
_cell_angle_beta 90.00
_cell_angle_gamma 120.00
loop_
_atom_site_label
_atom_site_type_symbol
_atom_site_fract_x
_atom_site_fract_y
_atom_site_fract_z
_atom_site_occupancy
Li1 Li 0.0000 0.2361 0.0000 1
Li2 Li 0.0000 0.7968 0.5000 1
Ac1 Ac 0.3333 0.6667 0.5000 1
Tl1 Tl 0.0000 0.5900 0.0000 1
```


Entry 6:
# Tm2Au3
Calculated PXRD pattern, Cu Ka. Input: a structure optimized by DFT (PBE).
Intensities are scaled so that the largest is 100.

Main lines, in order of rising 2θ (10° ≤ 2θ ≤ 80°):
2θ 22.01, d 4.038, I = 32, hkl 2 1 1
2θ 33.91, d 2.644, I = 100, hkl 3 2 1
2θ 36.33, d 2.473, I = 78, hkl 4 0 0
2θ 42.88, d 2.109, I = 53, hkl 3 3 2
2θ 52.32, d 1.749, I = 42, hkl 4 4 0
2θ 57.42, d 1.605, I = 13, hkl 6 1 1
2θ 63.82, d 1.459, I = 11, hkl 6 3 1
2θ 65.36, d 1.428, I = 13, hkl 4 4 4
2θ 69.88, d 1.346, I = 29, hkl 7 2 1
2θ 75.71, d 1.256, I = 28, hkl 7 3 2

Structure:
```
data_Tm2Au3
_chemical_formula_sum 'Tm16 Au24'
_symmetry_space_group_name_H-M 'I -4 3 d'
_symmetry_Int_Tables_number 220
_symmetry_space_group_name_Hall 'I -4bd 2c 3'
_cell_length_a 9.8921
_cell_length_b 9.8921
_cell_length_c 9.8921
_cell_angle_alpha 90.00
_cell_angle_beta 90.00
_cell_angle_gamma 90.00
loop_
_atom_site_label
_atom_site_type_symbol
_atom_site_fract_x
_atom_site_fract_y
_atom_site_fract_z
_atom_site_occupancy
Tm1 Tm 0.0383 0.4617 0.5383 1
Au1 Au 0.0000 0.2500 0.0163 1
```


Entry 7:
# NdFe10Mo2N
Calculated PXRD pattern, Cu Ka. Input: a structure optimized by DFT (PBE).
Intensities are scaled so that the largest is 100.

Main lines, in order of rising 2θ (10° ≤ 2θ ≤ 80°):
2θ 36.11, d 2.488, I = 40, hkl 1 0 3
2θ 36.27, d 2.477, I = 37, hkl 1 3 0
2θ 37.03, d 2.428, I = 30, hkl 2 0 0
2θ 41.57, d 2.173, I = 45, hkl 0 0 4
2θ 41.88, d 2.157, I = 79, hkl 0 4 0
2θ 41.99, d 2.152, I = 76, hkl 1 3 2
2θ 42.69, d 2.118, I = 100, hkl 2 0 2
2θ 47.00, d 1.933, I = 23, hkl 0 4 2
2θ 47.81, d 1.903, I = 31, hkl 2 2 2
2θ 70.11, d 1.342, I = 26, hkl 3 3 2

Structure:
```
data_NdFe10Mo2N
_chemical_formula_sum 'Nd2 Fe20 Mo4 N2'
_symmetry_space_group_name_H-M 'I m m m'
_symmetry_Int_Tables_number 71
_symmetry_space_group_name_Hall '-I 2 2'
_cell_length_a 4.8553
_cell_length_b 8.6377
_cell_length_c 8.6904
_cell_angle_alpha 90.00
_cell_angle_beta 90.00
_cell_angle_gamma 90.00
loop_
_atom_site_label
_atom_site_type_symbol
_atom_site_fract_x
_atom_site_fract_y
_atom_site_fract_z
_atom_site_occupancy
Nd1 Nd 0.0000 0.0000 0.0000 1
Fe1 Fe 0.0000 0.0000 0.3612 1
Fe2 Fe 0.0000 0.2769 0.5000 1
Fe3 Fe 0.0000 0.5000 0.2795 1
Fe4 Fe 0.2500 0.2500 0.2500 1
Mo1 Mo 0.0000 0.3600 0.0000 1
N1 N 0.0000 0.5000 0.5000 1
```


Entry 8:
# NaCu2F4
Calculated PXRD pattern, Cu Ka. Input: a structure optimized by DFT (PBE).
Intensities are scaled so that the largest is 100.

Main lines, in order of rising 2θ (10° ≤ 2θ ≤ 80°):
2θ 17.44, d 5.084, I = 83, hkl 1 0 1
2θ 29.89, d 2.989, I = 30, hkl 1 0 3
2θ 35.31, d 2.542, I = 81, hkl 2 0 2
2θ 35.55, d 2.525, I = 100, hkl 1 2 1
2θ 46.15, d 1.967, I = 26, hkl 1 0 5
2θ 54.12, d 1.695, I = 21, hkl 3 0 3
2θ 56.97, d 1.616, I = 34, hkl 2 2 4
2θ 57.81, d 1.595, I = 15, hkl 2 3 1
2θ 62.11, d 1.494, I = 21, hkl 2 0 6
2θ 75.26, d 1.263, I = 22, hkl 4 2 2

Structure:
```
data_NaCu2F4
_chemical_formula_sum 'Na4 Cu8 F16'
_symmetry_space_group_name_H-M 'I 41/a'
_symmetry_Int_Tables_number 88
_cell_length_a 5.8191
_cell_length_b 5.8191
_cell_length_c 10.4505
_cell_angle_alpha 90.00
_cell_angle_beta 90.00
_cell_angle_gamma 90.00
loop_
_symmetry_equiv_pos_as_xyz
'x,y,z'
'-x,-y,-z'
'-y+3/4,x+1/4,z+1/4'
'y+3/4,-x+1/4,-z+1/4'
'-x+1/2,-y,z+1/2'
'x+1/2,y,-z+1/2'
'y+3/4,-x+3/4,z+3/4'
'-y+3/4,x+3/4,-z+3/4'
'x+1/2,y+1/2,z+1/2'
'-x+1/2,-y+1/2,-z+1/2'
'-y+1/4,x+3/4,z+3/4'
'y+1/4,-x+3/4,-z+3/4'
'-x,-y+1/2,z'
'x,y+1/2,-z'
'y+1/4,-x+1/4,z+1/4'
'-y+1/4,x+1/4,-z+1/4'
loop_
_atom_site_label
_atom_site_type_symbol
_atom_site_fract_x
_atom_site_fract_y
_atom_site_fract_z
_atom_site_occupancy
Na1 Na 0.0000 0.2500 0.1250 1
Cu1 Cu 0.0000 0.0000 0.5000 1
F1 F 0.1514 0.4575 0.3287 1
```


Entry 9:
# PmNd3ErTm
Calculated PXRD pattern, Cu Ka. Input: a structure optimized by DFT (PBE).
Intensities are scaled so that the largest is 100.

Main lines, in order of rising 2θ (10° ≤ 2θ ≤ 80°):
2θ 30.29, d 2.951, I = 100, hkl 1 3 2
2θ 34.97, d 2.566, I = 17, hkl 0 0 4
2θ 35.10, d 2.556, I = 17, hkl 0 6 0
2θ 35.28, d 2.544, I = 17, hkl 2 0 0
2θ 50.39, d 1.811, I = 12, hkl 0 6 4
2θ 50.57, d 1.805, I = 24, hkl 2 6 0
2θ 59.85, d 1.545, I = 15, hkl 1 3 6
2θ 60.02, d 1.541, I = 14, hkl 1 9 2
2θ 60.26, d 1.536, I = 14, hkl 3 3 2
2θ 63.01, d 1.475, I = 12, hkl 2 6 4

Structure:
```
data_PmNd3ErTm
_chemical_formula_sum 'Pm4 Nd12 Er4 Tm4'
_symmetry_space_group_name_H-M 'C m c m'
_symmetry_Int_Tables_number 63
_symmetry_space_group_name_Hall '-C 2c 2'
_cell_length_a 5.0880
_cell_length_b 15.3381
_cell_length_c 10.2621
_cell_angle_alpha 90.00
_cell_angle_beta 90.00
_cell_angle_gamma 90.00
loop_
_atom_site_label
_atom_site_type_symbol
_atom_site_fract_x
_atom_site_fract_y
_atom_site_fract_z
_atom_site_occupancy
Pm1 Pm 0.0000 0.0018 0.2500 1
Nd1 Nd 0.0000 0.1652 0.0007 1
Nd2 Nd 0.0000 0.3332 0.2500 1
Er1 Er 0.0000 0.5000 0.0000 1
Tm1 Tm 0.0000 0.3339 0.7500 1
```


Entry 10:
# ZrNp2S6
Calculated PXRD pattern, Cu Ka. Input: a structure optimized by DFT (PBE).
Intensities are scaled so that the largest is 100.

Main lines, in order of rising 2θ (10° ≤ 2θ ≤ 80°):
2θ 13.50, d 6.560, I = 100, hkl 2 0 -1
2θ 26.77, d 3.330, I = 48, hkl 4 0 1
2θ 27.92, d 3.195, I = 18, hkl 3 1 0
2θ 32.07, d 2.791, I = 39, hkl 1 1 -2
2θ 32.28, d 2.774, I = 19, hkl 6 0 0
2θ 35.06, d 2.560, I = 13, hkl 5 1 -1
2θ 41.71, d 2.165, I = 15, hkl 3 1 -3
2θ 45.69, d 1.986, I = 13, hkl 7 1 -2
2θ 46.56, d 1.951, I = 21, hkl 0 2 0
2θ 48.65, d 1.872, I = 16, hkl 2 2 -1

Structure:
```
data_ZrNp2S6
_chemical_formula_sum 'Zr2 Np4 S12'
_symmetry_space_group_name_H-M 'C 1 2/m 1'
_symmetry_Int_Tables_number 12
_cell_length_a 17.2201
_cell_length_b 3.9051
_cell_length_c 7.9818
_cell_angle_alpha 90.00
_cell_angle_beta 104.90
_cell_angle_gamma 90.00
loop_
_symmetry_equiv_pos_as_xyz
'x,y,z'
'-x,-y,-z'
'-x,y,-z'
'x,-y,z'
'x+1/2,y+1/2,z'
'-x+1/2,-y+1/2,-z'
'-x+1/2,y+1/2,-z'
'x+1/2,-y+1/2,z'
loop_
_atom_site_label
_atom_site_type_symbol
_atom_site_fract_x
_atom_site_fract_y
_atom_site_fract_z
_atom_site_occupancy
Zr1 Zr 0.0000 0.0000 0.0000 1
Np1 Np 0.1638 0.5000 0.3263 1
S1 S 0.0038 0.5000 0.2204 1
S2 S 0.1543 0.0000 0.0934 1
S3 S 0.1757 0.0000 0.5581 1
```


Entry 11:
# PaCu2Pd6
Calculated PXRD pattern, Cu Ka. Input: a structure optimized by DFT (PBE).
Intensities are scaled so that the largest is 100.

Main lines, in order of rising 2θ (10° ≤ 2θ ≤ 80°):
2θ 30.79, d 2.904, I = 12, hkl 4 2 0
2θ 35.71, d 2.514, I = 75, hkl 1 3 1
2θ 38.85, d 2.318, I = 100, hkl 5 1 1
2θ 41.72, d 2.165, I = 17, hkl 6 2 0
2θ 41.87, d 2.158, I = 11, hkl 5 3 0
2θ 43.22, d 2.093, I = 58, hkl 0 0 2
2θ 45.08, d 2.011, I = 19, hkl 4 4 0
2θ 53.58, d 1.710, I = 11, hkl 6 4 0
2θ 74.31, d 1.276, I = 12, hkl 1 3 -3
2θ 76.32, d 1.248, I = 14, hkl 5 1 -3

Structure:
```
data_PaCu2Pd6
_chemical_formula_sum 'Pa4 Cu8 Pd24'
_symmetry_space_group_name_H-M 'C 1 2/c 1'
_symmetry_Int_Tables_number 15
_cell_length_a 14.5327
_cell_length_b 9.6612
_cell_length_c 4.1876
_cell_angle_alpha 90.00
_cell_angle_beta 90.08
_cell_angle_gamma 90.00
loop_
_symmetry_equiv_pos_as_xyz
'x,y,z'
'-x,-y,-z'
'-x,y,-z+1/2'
'x,-y,z+1/2'
'x+1/2,y+1/2,z'
'-x+1/2,-y+1/2,-z'
'-x+1/2,y+1/2,-z+1/2'
'x+1/2,-y+1/2,z+1/2'
loop_
_atom_site_label
_atom_site_type_symbol
_atom_site_fract_x
_atom_site_fract_y
_atom_site_fract_z
_atom_site_occupancy
Pa1 Pa 0.0000 0.2383 0.2500 1
Cu1 Cu 0.2263 0.4365 0.2497 1
Pd1 Pd 0.0931 0.0901 0.7492 1
Pd2 Pd 0.0970 0.3838 0.7485 1
Pd3 Pd 0.1955 0.1863 0.2496 1
```


Entry 12:
# Pm2PrDy4Th
Calculated PXRD pattern, Cu Ka. Input: a structure optimized by DFT (PBE).
Intensities are scaled so that the largest is 100.

Main lines, in order of rising 2θ (10° ≤ 2θ ≤ 80°):
2θ 30.46, d 2.935, I = 100, hkl 1 1 2
2θ 35.00, d 2.563, I = 17, hkl 0 2 0
2θ 35.15, d 2.553, I = 17, hkl 2 0 0
2θ 35.78, d 2.510, I = 16, hkl 0 0 4
2θ 50.45, d 1.809, I = 12, hkl 2 2 0
2θ 50.92, d 1.793, I = 12, hkl 0 2 4
2θ 59.98, d 1.542, I = 15, hkl 1 3 2
2θ 60.18, d 1.538, I = 15, hkl 3 1 2
2θ 61.02, d 1.519, I = 14, hkl 1 1 6
2θ 63.38, d 1.467, I = 12, hkl 2 2 4

Structure:
```
data_Pm2PrDy4Th
_chemical_formula_sum 'Pm2 Pr1 Dy4 Th1'
_symmetry_space_group_name_H-M 'P m m m'
_symmetry_Int_Tables_number 47
_cell_length_a 5.1062
_cell_length_b 5.1270
_cell_length_c 10.0385
_cell_angle_alpha 90.00
_cell_angle_beta 90.00
_cell_angle_gamma 90.00
loop_
_symmetry_equiv_pos_as_xyz
'x,y,z'
'-x,-y,-z'
'-x,-y,z'
'x,y,-z'
'x,-y,-z'
'-x,y,z'
'-x,y,-z'
'x,-y,z'
loop_
_atom_site_label
_atom_site_type_symbol
_atom_site_fract_x
_atom_site_fract_y
_atom_site_fract_z
_atom_site_occupancy
Pm1 Pm 0.0000 0.0000 0.0000 1
Pm2 Pm 0.5000 0.5000 0.5000 1
Pr1 Pr 0.0000 0.0000 0.5000 1
Dy1 Dy 0.0000 0.5000 0.2443 1
Dy2 Dy 0.5000 0.0000 0.2440 1
Th1 Th 0.5000 0.5000 0.0000 1
```